Theoretical XRD peak list of KCaLaWO6 for Cu Kα X-rays, from a structure optimized by DFT (PBE+U).
Intensities are scaled so that the largest is 100.

Structural model:
Lattice parameters (Å, degrees): 5.9006 5.9006 5.9006 60.00 60.00 60.00
Fractional positions:
K: 0.0000 0.0000 0.0000
Ca: 0.7500 0.7500 0.7500
La: 0.5000 0.5000 0.5000
W: 0.2500 0.2500 0.2500
O: 0.0174 0.0174 0.4826
O: 0.0174 0.4826 0.0174
O: 0.0174 0.4826 0.4826
O: 0.4826 0.0174 0.0174
O: 0.4826 0.0174 0.4826
O: 0.4826 0.4826 0.0174

The 8 most intense peaks (10° ≤ 2θ ≤ 90°), sorted by position:
- 18.42 deg, I 50.6
- 30.29 deg, I 100.0
- 35.69 deg, I 26.2
- 43.37 deg, I 32.9
- 53.82 deg, I 39.4
- 63.01 deg, I 19.8
- 71.51 deg, I 17.5
- 87.47 deg, I 21.0